LiCd11In17: computed X-ray powder pattern (Cu Kα (weighted mean of Kα1 and Kα2)), based on a DFT-relaxed cell (PBE, Alexandria).
Peak positions follow from Bragg's law for the DFT cell and can differ from measured ones.

Principal peaks in the range 2θ = 5–70°, sorted by position:
| 2θ (°) | intensity |
| --- | --- |
| 31.54 | 18 |
| 33.48 | 100 |
| 33.56 | 38 |
| 37.10 | 21 |
| 37.23 | 20 |
| 59.89 | 14 |

Structural model:
```
LiCd11In17
1.0
5.6759 -8.0434 0.0000
5.6759 8.0434 0.0000
-5.6716 0.0000 8.0014
Li Cd In
1 11 17
direct
0.0000 0.0000 0.0000
0.1782 0.1782 0.3669
0.1820 0.5615 0.9962
0.1828 0.9968 0.8123
0.3680 0.5579 0.5648
0.3687 0.7452 0.3761
0.5579 0.3680 0.5648
0.5615 0.1820 0.9962
0.5609 0.7481 0.1864
0.7452 0.3687 0.3761
0.7481 0.5609 0.1864
0.9968 0.1828 0.8123
0.0357 0.3646 0.1800
0.0567 0.3692 0.5997
0.0601 0.7864 0.1846
0.0882 0.6761 0.4921
0.3644 0.3644 0.1780
0.3646 0.0357 0.1800
0.3692 0.0567 0.5997
0.3747 0.7837 0.8771
0.3820 0.3820 0.8470
0.6631 0.9654 0.7827
0.6761 0.0882 0.4921
0.6960 0.6960 0.9061
0.7007 0.7007 0.5195
0.7837 0.3747 0.8771
0.7864 0.0601 0.1846
0.9607 0.9607 0.4677
0.9654 0.6631 0.7827
```